(1)
For Sn2GeAsP2, DFT lattice parameters and positions (PBE) gives the simulated X-ray diffraction stick pattern in this record (CuKα).

Structural model:
```
Sn2GeAsP2
1.0
0.0000 8.0388 3.0440
2.7168 0.0000 3.0440
2.7168 8.0388 0.0000
Sn Ge As P
2 1 1 2
direct
0.1693 0.8307 0.1693
0.8307 0.1693 0.8307
0.4839 0.4839 0.5161
0.9024 0.9024 0.0976
0.2666 0.5921 0.4079
0.5921 0.2666 0.7334
```

Main lines, by angle (10° ≤ 2θ ≤ 80°):
- 2θ = 22.62°, d = 3.931 Å, I = 23
- 2θ = 27.59°, d = 3.233 Å, I = 100
- 2θ = 29.34°, d = 3.044 Å, I = 83
- 2θ = 32.97°, d = 2.717 Å, I = 78
- 2θ = 33.44°, d = 2.680 Å, I = 74
- 2θ = 44.71°, d = 2.027 Å, I = 52
- 2θ = 45.08°, d = 2.011 Å, I = 51
- 2θ = 47.67°, d = 1.908 Å, I = 55
- 2θ = 50.97°, d = 1.792 Å, I = 51
- 2θ = 56.97°, d = 1.617 Å, I = 51
- 2θ = 72.08°, d = 1.310 Å, I = 21
- 2θ = 72.62°, d = 1.302 Å, I = 18

(2)
For Gd2BiP, DFT lattice parameters and positions (PBE) gives the simulated X-ray diffraction stick pattern in this record (CuKα).

Structural model:
```
Gd2BiP
1.0
2.1115 1.2191 7.1861
-2.1115 1.2191 7.1861
0.0000 -2.4382 7.1861
Gd Bi P
2 1 1
direct
0.2394 0.2394 0.2394
0.7606 0.7606 0.7606
0.0000 0.0000 0.0000
0.5000 0.5000 0.5000
```

Main lines, by angle (10° ≤ 2θ ≤ 80°):
- 2θ = 12.32°, d = 7.186 Å, I = 10
- 2θ = 24.69°, d = 3.605 Å, I = 21
- 2θ = 29.52°, d = 3.026 Å, I = 100
- 2θ = 32.09°, d = 2.789 Å, I = 21
- 2θ = 41.63°, d = 2.169 Å, I = 35
- 2θ = 42.83°, d = 2.112 Å, I = 38
- 2θ = 52.87°, d = 1.732 Å, I = 20
- 2θ = 58.25°, d = 1.584 Å, I = 13
- 2θ = 61.26°, d = 1.513 Å, I = 11
- 2θ = 68.59°, d = 1.368 Å, I = 13
- 2θ = 70.30°, d = 1.339 Å, I = 17
- 2θ = 77.63°, d = 1.230 Å, I = 12